(1)
BaSe2O6: computed powder diffraction line list (CuKα), based on a cell relaxed with GGA-PBE.

Structure:
```
18
Lattice="4.728 0.000 0.000 0.728 7.363 0.000 0.728 2.675 8.655" Properties=species:S:1:pos:R:3 pbc="T T T"
Ba 0.949 0.932 1.711
Ba 5.235 9.106 6.944
Se 1.770 5.272 4.899
Se 2.302 4.507 1.024
Se 3.882 5.531 7.631
Se 4.414 4.766 3.756
O 0.882 3.673 1.397
O 1.586 3.513 5.665
O 2.221 7.746 4.677
O 1.859 5.847 0.061
O 2.247 3.374 6.907
O 3.240 7.707 5.501
O 2.944 2.331 3.153
O 3.937 6.664 1.748
O 4.325 4.191 8.594
O 3.964 2.292 3.977
O 4.598 6.525 2.989
O 5.302 6.365 7.257
```

Largest 10 diffraction maxima, low angle first, 15 to 90 degrees two-theta:
20.7°, d = 4.295 Å, I 32, (0 1 2)
21.0°, d = 4.225 Å, I 25, (1 0 1)
25.3°, d = 3.517 Å, I 45, (0 2 0)
26.2°, d = 3.401 Å, I 43, (1 1 -1)
27.2°, d = 3.273 Å, I 100, (1 0 2)
29.4°, d = 3.043 Å, I 29, (1 2 1)
29.6°, d = 3.022 Å, I 53, (-1 1 2)
39.3°, d = 2.292 Å, I 33, (2 1 1)
39.8°, d = 2.266 Å, I 31, (1 3 1)
44.6°, d = 2.033 Å, I 25, (-1 3 2)


(2)
CrC: computed powder diffraction line list (CuKα), based on a cell relaxed with GGA-PBE.

Structure:
```
2
Lattice="2.707 0.000 0.000 -1.353 2.344 0.000 0.000 0.000 2.622" Properties=species:S:1:pos:R:3 pbc="T T T"
Cr 0.000 0.000 0.000
C 0.000 1.563 1.311
```

Largest 8 diffraction maxima, low angle first, 15 to 90 degrees two-theta:
34.2°, d = 2.622 Å, I 34, (0 0 1)
38.4°, d = 2.344 Å, I 95, (1 0 0)
52.4°, d = 1.748 Å, I 100, (1 0 1)
69.4°, d = 1.353 Å, I 22, (1 1 0)
72.0°, d = 1.311 Å, I 6, (0 0 2)
79.7°, d = 1.203 Å, I 15, (1 1 1)
82.2°, d = 1.172 Å, I 8, (2 0 0)
84.7°, d = 1.144 Å, I 15, (1 0 2)